# Pu2BiSe2O2
Simulated powder XRD pattern, Cu Kα X-rays. Input: a structure optimized by DFT (PBE).

Peak list (10 most intense, 2θ = 5–70°, low angle first)
h k l  2theta  I (rel.)
0 0 1  6.0  37
0 0 2  12.1  58
0 0 4  24.3  36
1 0 1  28.5  79
1 0 2  30.5  90
0 1 3  33.5  100
1 0 5  41.8  43
1 0 6  46.8  31
1 1 0  49.3  46
0 2 2  59.1  26

Structural model:
Lattice parameters (Å, degrees): 3.699 3.699 14.623 90.00 90.00 120.00
Positions (direct):
Pu 0.333 0.667 0.255
Pu 0.667 0.333 0.745
Bi 0.000 0.000 0.500
Se 0.000 0.000 0.129
Se 0.000 0.000 0.871
O 0.333 0.667 0.703
O 0.667 0.333 0.297